No. 1
This entry pairs a crystal structure of Ca2ZrTiGe2O10 with its theoretical powder diffraction line list. Radiation: Cu Kα X-rays. Structure: a crystal structure in the Materials Project, relaxed with GGA-PBE.
Kinematic intensities with the Lorentz-polarization factor, no thermal factor.

Largest 10 diffraction maxima, low angle first, 2θ = 10–90°:
hkl	2theta	I_rel
1 0 -1	17.8	19
1 0 -2	26.2	100
1 1 0	28.4	82
1 -2 0	32.6	42
2 -1 0	32.9	73
1 -1 2	33.0	30
1 1 -4	49.8	19
3 0 0	53.3	17
1 -2 4	58.9	24
2 2 -4	62.2	20

Crystal structure
Cell: 5.6820 5.7348 7.4074 Å, 104.13 104.07 105.89°
Space group P-1 (No. 2)
One atom of each set of equivalent atoms:
Ca1 0.1827 0.3330 0.2585 [2 per cell]
Zr1 0.5000 0.0000 0.0000 [1 per cell]
Ti1 0.5000 0.0000 0.5000 [1 per cell]
Ge1 0.1680 0.3133 0.7451 [2 per cell]
O1 0.1408 0.7466 0.4229 [2 per cell]
O2 0.1734 0.1065 0.8883 [2 per cell]
O3 0.2302 0.6220 0.9088 [2 per cell]
O4 0.3885 0.3085 0.6102 [2 per cell]
O5 0.4243 0.0728 0.2620 [2 per cell]

No. 2
This entry pairs a crystal structure of CaAl2SiO6 with its theoretical powder diffraction line list. Radiation: Cu Kα X-rays. Structure: a crystal structure in the Materials Project, relaxed with GGA-PBE.
Kinematic intensities with the Lorentz-polarization factor, no thermal factor.

Largest 10 diffraction maxima, low angle first, 2θ = 10–90°:
hkl	2theta	I_rel
2 2 -1	30.1	100
3 1 0	30.5	29
3 1 -1	30.9	42
0 0 2	35.0	42
1 3 -1	35.5	25
2 2 1	35.9	51
3 1 1	39.2	20
0 4 1	45.2	23
5 3 1	66.1	18
3 5 -2	67.2	19

Crystal structure
Cell: 9.7211 8.7215 5.3371 Å, 90.00 106.08 90.00°
Space group C2 (No. 5)
One atom of each set of equivalent atoms:
Ca1 0.0000 0.0000 0.0000 [2 per cell]
Ca2 0.0000 0.3778 0.5000 [2 per cell]
Al1 0.0000 0.5980 0.0000 [2 per cell]
Al2 0.0000 0.7798 0.5000 [2 per cell]
Al3 0.2150 0.0902 0.5386 [4 per cell]
Si1 0.2095 0.2848 0.0339 [4 per cell]
O1 0.0956 0.6067 0.3624 [4 per cell]
O2 0.1131 0.7713 0.8815 [4 per cell]
O3 0.1281 0.9189 0.4286 [4 per cell]
O4 0.1383 0.4528 0.9462 [4 per cell]
O5 0.1436 0.1751 0.7764 [4 per cell]
O6 0.1466 0.2136 0.2636 [4 per cell]

No. 3
This entry pairs a crystal structure of Sc2Se3O10 with its theoretical powder diffraction line list. Radiation: Cu Kα X-rays. Structure: a crystal structure in the Materials Project, relaxed with GGA-PBE.
Kinematic intensities with the Lorentz-polarization factor, no thermal factor.

Largest 10 diffraction maxima, low angle first, 2θ = 10–90°:
hkl	2theta	I_rel
0 0 2	14.1	31
1 1 2	20.9	38
0 1 3	22.6	100
1 2 2	25.0	34
0 2 3	26.4	63
2 0 0	26.7	85
1 3 1	28.1	38
1 3 2	30.7	82
2 1 3	35.3	37
0 3 6	49.7	30

Crystal structure
Cell: 6.6725 11.3328 12.5750 Å, 90.00 90.00 90.00°
Space group P2_12_12_1 (No. 19)
One atom of each set of equivalent atoms:
Sc1 0.2123 0.0445 0.0163 [4 per cell]
Sc2 0.2218 0.5957 0.9303 [4 per cell]
Se1 0.1733 0.8718 0.7805 [4 per cell]
Se2 0.1959 0.3441 0.0425 [4 per cell]
Se3 0.2032 0.7987 0.1494 [4 per cell]
O1 0.0311 0.4340 0.9704 [4 per cell]
O2 0.0506 0.8864 0.0671 [4 per cell]
O3 0.0854 0.1207 0.6122 [4 per cell]
O4 0.1082 0.5624 0.5084 [4 per cell]
O5 0.1727 0.1122 0.1719 [4 per cell]
O6 0.2024 0.4988 0.2852 [4 per cell]
O7 0.2190 0.2512 0.3384 [4 per cell]
O8 0.2234 0.6714 0.0796 [4 per cell]
O9 0.2259 0.2250 0.9611 [4 per cell]
O10 0.2475 0.0154 0.3607 [4 per cell]

No. 4
This entry pairs a crystal structure of Sr3NbN3 with its theoretical powder diffraction line list. Radiation: Cu Kα X-rays. Structure: a crystal structure in the Materials Project, relaxed with GGA-PBE.
Kinematic intensities with the Lorentz-polarization factor, no thermal factor.

Largest 10 diffraction maxima, low angle first, 2θ = 10–90°:
hkl	2theta	I_rel
2 0 0	25.8	34
1 1 1	27.6	25
2 0 1	30.6	100
0 0 2	32.5	39
1 2 0	34.4	23
2 0 2	42.0	18
1 2 2	48.0	17
2 0 3	56.8	18
2 2 2	57.1	14
3 1 2	58.8	14

Crystal structure
Cell: 7.9672 7.9672 5.5077 Å, 90.00 90.00 120.00°
Space group P6_3/m (No. 176)
One atom of each set of equivalent atoms:
Sr1 0.1178 0.3565 0.2500 [6 per cell]
Nb1 0.3333 0.6667 0.7500 [2 per cell]
N1 0.1355 0.3907 0.7500 [6 per cell]

No. 5
This entry pairs a crystal structure of LiCaSn with its theoretical powder diffraction line list. Radiation: Cu Kα X-rays. Structure: a crystal structure in the Materials Project, relaxed with GGA-PBE.
Kinematic intensities with the Lorentz-polarization factor, no thermal factor.

Largest 10 diffraction maxima, low angle first, 2θ = 10–90°:
hkl	2theta	I_rel
1 0 1	22.4	100
1 0 2	26.6	33
1 0 3	32.5	84
1 1 0	36.5	76
1 0 4	39.4	37
1 1 3	44.5	20
2 0 3	49.7	25
2 1 3	63.2	24
1 1 6	64.0	35
3 0 6	87.3	21

Crystal structure
Cell: 4.9241 4.9241 10.8326 Å, 90.00 90.00 120.00°
Space group P-6m2 (No. 187)
One atom of each set of equivalent atoms:
Li1 0.0000 0.0000 0.0000 [1 per cell]
Li2 0.6667 0.3333 0.3034 [2 per cell]
Ca1 0.3333 0.6667 0.1669 [2 per cell]
Ca2 0.3333 0.6667 0.5000 [1 per cell]
Sn1 0.0000 0.0000 0.3510 [2 per cell]
Sn2 0.6667 0.3333 0.0000 [1 per cell]

No. 6
This entry pairs a crystal structure of BaCaP2H2O8 with its theoretical powder diffraction line list. Radiation: Cu Kα X-rays. Structure: a crystal structure in the Materials Project, relaxed with GGA-PBE.
Kinematic intensities with the Lorentz-polarization factor, no thermal factor.

Largest 10 diffraction maxima, low angle first, 2θ = 10–90°:
hkl	2theta	I_rel
1 1 0	14.8	26
2 0 -2	21.4	20
2 1 -2	24.1	26
1 2 -1	24.6	63
3 0 -2	27.9	80
2 1 1	28.2	32
1 1 2	28.6	100
1 1 -3	30.1	35
0 3 1	35.0	26
2 1 -4	39.0	21

Crystal structure
Cell: 9.9769 8.0381 9.6613 Å, 90.00 115.47 90.00°
Space group P2_1/c (No. 14)
One atom of each set of equivalent atoms:
Ba1 0.2266 0.1455 0.0515 [4 per cell]
Ca1 0.2745 0.6417 0.2106 [4 per cell]
P1 0.0733 0.5627 0.8341 [4 per cell]
P2 0.4990 0.7374 0.5742 [4 per cell]
H1 0.0474 0.6682 0.3383 [4 per cell]
H2 0.4841 0.5214 0.8715 [4 per cell]
O1 0.0220 0.7286 0.8907 [4 per cell]
O2 0.0735 0.5352 0.2584 [4 per cell]
O3 0.1424 0.6085 0.7238 [4 per cell]
O4 0.1782 0.0280 0.4800 [4 per cell]
O5 0.3531 0.6606 0.5599 [4 per cell]
O6 0.3612 0.1346 0.8322 [4 per cell]
O7 0.4833 0.0939 0.3261 [4 per cell]
O8 0.4913 0.7133 0.9165 [4 per cell]